1.
Diffraction record for In2S3. The X-ray powder pattern is calculated, not measured: it uses DFT lattice parameters and positions (PBE) and λ = 1.5418 Å (Cu Kα).

Cell and atoms:
```
data_In2S3
_chemical_formula_sum 'In16 S24'
_cell_length_a 13.427
_cell_length_b 7.649
_cell_length_c 13.520
_cell_angle_alpha 90.00
_cell_angle_beta 107.60
_cell_angle_gamma 90.00
_symmetry_space_group_name_H-M 'C 1 m 1'
_symmetry_Int_Tables_number 8
loop_
_symmetry_equiv_pos_as_xyz
'x,y,z'
'x,-y,z'
'x+1/2,y+1/2,z'
'x+1/2,-y+1/2,z'
loop_
_atom_site_label
_atom_site_type_symbol
_atom_site_fract_x
_atom_site_fract_y
_atom_site_fract_z
In1 In 0.000 0.000 0.000
In2 In 0.002 0.247 0.716
In3 In 0.198 0.000 0.228
In4 In 0.209 0.000 0.559
In5 In 0.212 0.500 0.033
In6 In 0.248 0.500 0.715
In7 In 0.297 0.000 0.872
S1 S 0.110 0.000 0.853
S2 S 0.124 0.500 0.839
S3 S 0.127 0.266 0.606
S4 S 0.128 0.245 0.105
S5 S 0.129 0.000 0.369
S6 S 0.384 0.271 0.853
S7 S 0.386 0.500 0.620
S8 S 0.396 0.500 0.123
S9 S 0.401 0.000 0.606
```

Top 10 peaks for 10° ≤ 2θ ≤ 80°, in order of rising 2θ:
hkl	d/Å	intensity
1 1 0	6.569	56.8
0 0 2	6.426	64.1
1 1 -1	6.256	59.0
1 1 -3	3.881	56.9
1 1 3	3.362	84.5
2 2 0	3.285	100.0
3 1 -3	3.275	47.2
2 2 2	2.757	46.4
2 2 -6	1.941	46.0
6 2 -2	1.931	43.5

2.
Diffraction record for In2S3. The X-ray powder pattern is calculated, not measured: it uses DFT lattice parameters and positions (PBE) and λ = 1.5418 Å (Cu Kα).

Cell and atoms:
```
data_In2S3
_chemical_formula_sum 'In8 S12'
_cell_length_a 6.968
_cell_length_b 12.167
_cell_length_c 6.914
_cell_angle_alpha 90.00
_cell_angle_beta 108.79
_cell_angle_gamma 90.00
_symmetry_space_group_name_H-M 'C 1 c 1'
_symmetry_Int_Tables_number 9
loop_
_symmetry_equiv_pos_as_xyz
'x,y,z'
'x,-y,z+1/2'
'x+1/2,y+1/2,z'
'x+1/2,-y+1/2,z+1/2'
loop_
_atom_site_label
_atom_site_type_symbol
_atom_site_fract_x
_atom_site_fract_y
_atom_site_fract_z
In1 In 0.000 0.083 0.000
In2 In 0.025 0.255 0.497
S1 S 0.134 0.419 0.366
S2 S 0.141 0.255 0.885
S3 S 0.160 0.081 0.387
```

Top 10 peaks for 10° ≤ 2θ ≤ 80°, in order of rising 2θ:
hkl	d/Å	intensity
1 1 0	5.799	35.2
0 2 1	4.456	24.1
1 3 -1	3.295	100.0
0 0 2	3.273	46.0
1 3 1	2.863	13.0
0 6 0	2.028	14.1
2 0 2	2.020	13.7
3 3 -1	2.015	26.6
1 3 -3	2.004	27.2
3 3 1	1.727	19.5

3.
Diffraction record for InSbS3. The X-ray powder pattern is calculated, not measured: it uses DFT lattice parameters and positions (PBE) and λ = 1.5418 Å (Cu Kα).

Cell and atoms:
```
data_InSbS3
_chemical_formula_sum 'In4 Sb4 S12'
_cell_length_a 9.541
_cell_length_b 3.893
_cell_length_c 13.508
_cell_angle_alpha 90.00
_cell_angle_beta 90.00
_cell_angle_gamma 90.00
_symmetry_space_group_name_H-M 'P n m a'
_symmetry_Int_Tables_number 62
loop_
_symmetry_equiv_pos_as_xyz
'x,y,z'
'-x,-y,-z'
'-x+1/2,-y,z+1/2'
'x+1/2,y,-z+1/2'
'x+1/2,-y+1/2,-z+1/2'
'-x+1/2,y+1/2,z+1/2'
'-x,y+1/2,-z'
'x,-y+1/2,z'
loop_
_atom_site_label
_atom_site_type_symbol
_atom_site_fract_x
_atom_site_fract_y
_atom_site_fract_z
In1 In 0.148 0.250 0.044
Sb1 Sb 0.027 0.250 0.642
S1 S 0.000 0.250 0.884
S2 S 0.159 0.250 0.480
S3 S 0.187 0.750 0.701
```

Top 10 peaks for 10° ≤ 2θ ≤ 80°, in order of rising 2θ:
hkl	d/Å	intensity
0 0 2	6.754	46.7
1 0 2	5.513	56.3
1 0 3	4.072	65.6
1 1 2	3.180	53.2
2 1 0	3.016	49.3
2 1 1	2.944	76.0
2 0 4	2.755	100.0
0 1 5	2.219	58.2
3 1 4	1.990	30.2
0 2 0	1.947	62.7

4.
Diffraction record for TlInSiS4. The X-ray powder pattern is calculated, not measured: it uses DFT lattice parameters and positions (PBE) and λ = 1.5418 Å (Cu Kα).

Cell and atoms:
```
data_TlInSiS4
_chemical_formula_sum 'Tl8 In8 Si8 S32'
_cell_length_a 16.853
_cell_length_b 7.723
_cell_length_c 12.687
_cell_angle_alpha 90.00
_cell_angle_beta 90.00
_cell_angle_gamma 90.00
_symmetry_space_group_name_H-M 'P n m a'
_symmetry_Int_Tables_number 62
loop_
_symmetry_equiv_pos_as_xyz
'x,y,z'
'-x,-y,-z'
'-x+1/2,-y,z+1/2'
'x+1/2,y,-z+1/2'
'x+1/2,-y+1/2,-z+1/2'
'-x+1/2,y+1/2,z+1/2'
'-x,y+1/2,-z'
'x,-y+1/2,z'
loop_
_atom_site_label
_atom_site_type_symbol
_atom_site_fract_x
_atom_site_fract_y
_atom_site_fract_z
Tl1 Tl 0.071 0.250 0.115
Tl2 Tl 0.168 0.250 0.480
In1 In 0.153 0.008 0.774
Si1 Si 0.018 0.750 0.303
Si2 Si 0.169 0.750 0.201
S1 S 0.038 0.018 0.649
S2 S 0.051 0.750 0.136
S3 S 0.138 0.750 0.366
S4 S 0.152 0.750 0.887
S5 S 0.159 0.250 0.899
S6 S 0.229 0.521 0.149
```

Top 10 peaks for 10° ≤ 2θ ≤ 80°, in order of rising 2θ:
hkl	d/Å	intensity
2 1 0	5.694	66.1
2 1 2	4.237	51.6
2 0 3	3.780	50.0
2 2 1	3.384	100.0
3 0 3	3.379	45.0
0 2 2	3.298	59.7
3 2 1	3.088	45.4
5 0 2	2.977	56.7
4 2 3	2.362	37.6
6 0 4	2.104	52.1

5.
Diffraction record for In6Sn8S19. The X-ray powder pattern is calculated, not measured: it uses DFT lattice parameters and positions (PBE) and λ = 1.5418 Å (Cu Kα).

Cell and atoms:
```
data_In6Sn8S19
_chemical_formula_sum 'In6 Sn8 S19'
_cell_length_a 3.865
_cell_length_b 15.065
_cell_length_c 15.096
_cell_angle_alpha 62.50
_cell_angle_beta 83.31
_cell_angle_gamma 82.84
_symmetry_space_group_name_H-M 'P 1'
_symmetry_Int_Tables_number 1
loop_
_symmetry_equiv_pos_as_xyz
'x,y,z'
loop_
_atom_site_label
_atom_site_type_symbol
_atom_site_fract_x
_atom_site_fract_y
_atom_site_fract_z
In1 In 0.000 0.000 0.000
In2 In 0.028 0.709 0.232
In3 In 0.223 0.200 0.350
In4 In 0.271 0.747 0.711
In5 In 0.409 0.931 0.251
In6 In 0.619 0.776 0.981
Sn1 Sn 0.340 0.253 0.055
Sn2 Sn 0.370 0.325 0.748
Sn3 Sn 0.437 0.631 0.496
Sn4 Sn 0.589 0.081 0.734
Sn5 Sn 0.658 0.387 0.483
Sn6 Sn 0.685 0.452 0.186
Sn7 Sn 0.757 0.963 0.522
Sn8 Sn 0.804 0.509 0.880
S1 S 0.050 0.227 0.666
S2 S 0.096 0.907 0.889
S3 S 0.126 0.657 0.091
S4 S 0.147 0.385 0.332
S5 S 0.211 0.940 0.649
S6 S 0.266 0.454 0.015
S7 S 0.300 0.005 0.386
S8 S 0.342 0.554 0.751
S9 S 0.487 0.117 0.896
S10 S 0.513 0.856 0.115
S11 S 0.540 0.592 0.337
S12 S 0.687 0.149 0.482
S13 S 0.729 0.697 0.850
S14 S 0.764 0.260 0.210
S15 S 0.817 0.776 0.580
S16 S 0.879 0.327 0.900
S17 S 0.902 0.052 0.143
S18 S 0.933 0.800 0.343
S19 S 0.979 0.483 0.565
```

Top 10 peaks for 10° ≤ 2θ ≤ 80°, in order of rising 2θ:
hkl	d/Å	intensity
0 2 3	4.859	63.9
0 1 -3	3.742	75.0
0 4 1	3.642	93.2
0 3 4	3.554	100.0
0 0 4	3.336	49.8
1 2 -1	3.115	70.2
1 0 -3	2.810	68.0
1 1 4	2.778	56.0
1 -2 2	2.724	61.6
2 1 1	1.932	92.6

6.
Diffraction record for In10SnS14. The X-ray powder pattern is calculated, not measured: it uses DFT lattice parameters and positions (PBE) and λ = 1.5418 Å (Cu Kα).

Cell and atoms:
```
data_In10SnS14
_chemical_formula_sum 'In10 Sn1 S14'
_cell_length_a 9.211
_cell_length_b 3.928
_cell_length_c 17.273
_cell_angle_alpha 90.00
_cell_angle_beta 102.41
_cell_angle_gamma 90.00
_symmetry_space_group_name_H-M 'P 1 m 1'
_symmetry_Int_Tables_number 6
loop_
_symmetry_equiv_pos_as_xyz
'x,y,z'
'x,-y,z'
loop_
_atom_site_label
_atom_site_type_symbol
_atom_site_fract_x
_atom_site_fract_y
_atom_site_fract_z
In1 In 0.000 0.000 0.000
In2 In 0.021 0.500 0.586
In3 In 0.166 0.000 0.238
In4 In 0.277 0.500 0.922
In5 In 0.329 0.500 0.449
In6 In 0.377 0.000 0.658
In7 In 0.419 0.000 0.172
In8 In 0.537 0.500 0.859
In9 In 0.673 0.000 0.521
In10 In 0.712 0.500 0.096
Sn1 Sn 0.815 0.000 0.330
S1 S 0.103 0.000 0.874
S2 S 0.107 0.500 0.323
S3 S 0.189 0.000 0.518
S4 S 0.192 0.500 0.058
S5 S 0.239 0.500 0.704
S6 S 0.471 0.000 0.396
S7 S 0.523 0.000 0.050
S8 S 0.527 0.500 0.581
S9 S 0.599 0.000 0.777
S10 S 0.614 0.500 0.232
S11 S 0.798 0.500 0.962
S12 S 0.822 0.500 0.450
S13 S 0.886 0.000 0.636
S14 S 0.910 0.000 0.144
```

Top 10 peaks for 10° ≤ 2θ ≤ 80°, in order of rising 2θ:
hkl	d/Å	intensity
0 0 2	8.434	47.3
1 0 3	4.366	58.1
1 0 4	3.537	53.3
1 0 -5	3.414	50.5
1 1 2	3.213	70.3
3 0 -2	3.035	73.7
2 1 1	2.847	51.2
2 0 4	2.788	100.0
2 1 -4	2.601	93.1
0 2 0	1.963	78.6

7.
Diffraction record for In4SnS8. The X-ray powder pattern is calculated, not measured: it uses DFT lattice parameters and positions (PBE) and λ = 1.5418 Å (Cu Kα).

Cell and atoms:
```
data_In4SnS8
_chemical_formula_sum 'In12 Sn3 S24'
_cell_length_a 7.6784
_cell_length_b 7.6784
_cell_length_c 18.7501
_cell_angle_alpha 90.00
_cell_angle_beta 90.00
_cell_angle_gamma 120.00
_symmetry_space_group_name_H-M 'R 3 m'
_symmetry_Int_Tables_number 160
_symmetry_space_group_name_Hall 'R 3 -2"'
loop_
_atom_site_label
_atom_site_type_symbol
_atom_site_fract_x
_atom_site_fract_y
_atom_site_fract_z
In1 In 0.0000 0.0000 0.0000
In2 In 0.1792 0.3584 0.2030
Sn1 Sn 0.0000 0.0000 0.3829
S1 S 0.0000 0.0000 0.1339
S2 S 0.0000 0.0000 0.6187
S3 S 0.0099 0.5049 0.1198
S4 S 0.1803 0.3606 0.9536
```

Top 10 peaks for 10° ≤ 2θ ≤ 80°, in order of rising 2θ:
hkl	d/Å	intensity
1 0 1	6.264	50.4
0 1 2	5.424	22.3
0 1 5	3.271	100.0
2 0 2	3.131	15.5
0 2 4	2.712	56.6
2 0 5	2.489	18.5
1 2 5	2.088	51.5
2 2 0	1.920	36.3
2 0 8	1.916	35.7
4 1 3	1.413	16.4